Entry 1:
This entry pairs a crystal structure of Ac2TeO6 with its calculated powder XRD pattern. Radiation: copper Kα. Structure: a DFT-relaxed cell (PBE, Alexandria).
No peak broadening, texture or thermal motion is included.

Cell and atoms:
```
Ac2TeO6
1.0
5.809 0.000 0.000
0.000 6.450 0.000
-5.180 0.000 8.133
Ac Te O
4 2 12
Cartesian
-0.012 0.499 2.048
-2.602 2.726 6.114
3.231 3.724 2.019
0.641 5.952 6.086
2.904 0.000 0.000
0.314 3.225 4.067
-3.947 0.956 7.775
-1.357 2.269 3.709
-3.112 4.758 7.565
-0.522 4.917 3.499
-1.712 0.357 6.308
0.878 2.868 2.242
-0.249 3.582 5.892
2.341 6.093 1.825
1.151 1.533 4.635
3.740 1.692 0.568
1.986 4.181 4.425
4.576 5.494 0.358
```

Top 10 peaks for 2θ = 10–80°, most intense first:
2θ/deg  d (Å)  I (rel.)
29.3  3.046  100.0
31.1  2.876  86.4
20.6  4.309  57.6
30.9  2.896  47.7
29.8  2.998  45.4
21.9  4.067  38.5
22.8  3.902  32.5
17.5  5.054  32.1
27.7  3.225  31.8
46.1  1.969  30.3


Entry 2:
This entry pairs a crystal structure of LiCa2Sb3Rh4 with its calculated powder XRD pattern. Radiation: copper Kα. Structure: a DFT-relaxed cell (PBE, Alexandria).
No peak broadening, texture or thermal motion is included.

Cell and atoms:
```
LiCa2Sb3Rh4
1.0
4.250 0.000 0.000
0.000 4.250 0.000
0.000 0.000 11.321
Li Ca Sb Rh
1 2 3 4
Cartesian
0.000 0.000 0.000
0.000 2.125 8.622
2.125 0.000 2.699
0.000 2.125 4.129
2.125 0.000 7.193
2.125 2.125 0.000
0.000 0.000 5.661
0.000 2.125 1.557
2.125 0.000 9.765
2.125 2.125 5.661
```

Top 10 peaks for 2θ = 10–80°, most intense first:
2θ/deg  d (Å)  I (rel.)
33.8  2.654  100.0
43.9  2.060  96.9
22.3  3.979  96.6
42.5  2.125  84.5
31.7  2.822  60.9
45.4  1.998  46.2
78.8  1.214  34.4
64.0  1.456  32.1
61.7  1.503  27.2
54.0  1.697  25.7


Entry 3:
This entry pairs a crystal structure of Nd5Tl2Zn with its calculated powder XRD pattern. Radiation: copper Kα. Structure: a DFT-relaxed cell (PBE, Alexandria).
No peak broadening, texture or thermal motion is included.

Cell and atoms:
```
Nd5Tl2Zn
1.0
6.904 0.000 0.000
0.000 13.341 0.000
0.000 0.000 5.217
Nd Tl Zn
10 4 2
Cartesian
0.000 0.000 0.000
0.784 3.724 0.000
1.182 7.947 2.609
2.270 1.277 2.609
2.668 10.395 0.000
3.452 6.671 0.000
4.236 2.947 0.000
4.634 12.064 2.609
5.722 5.394 2.609
6.120 9.617 0.000
0.951 11.360 2.609
2.501 4.689 2.609
4.403 8.652 2.609
5.953 1.981 2.609
0.000 6.671 0.000
3.452 0.000 0.000
```

Top 10 peaks for 2θ = 10–80°, most intense first:
2θ/deg  d (Å)  I (rel.)
31.8  2.812  100.0
34.4  2.608  32.2
29.4  3.039  19.2
32.8  2.727  16.9
60.0  1.542  16.5
29.7  3.003  12.8
31.1  2.879  12.1
48.3  1.885  11.6
59.7  1.548  8.6
46.1  1.969  7.7


Entry 4:
This entry pairs a crystal structure of KNp3O9 with its calculated powder XRD pattern. Radiation: copper Kα. Structure: a DFT-relaxed cell (PBE, Alexandria).
No peak broadening, texture or thermal motion is included.

Cell and atoms:
```
KNp3O9
1.0
8.004 0.000 0.000
-4.002 6.931 0.000
0.000 0.000 4.153
K Np O
1 3 9
Cartesian
0.000 0.000 0.000
-2.001 3.466 2.076
4.002 0.000 2.076
2.001 3.466 2.076
-2.001 3.466 0.000
0.000 2.856 2.076
-1.528 5.503 2.076
2.474 1.428 2.076
4.002 0.000 0.000
2.001 3.466 0.000
1.528 5.503 2.076
5.530 1.428 2.076
4.002 4.075 2.076
```

Top 10 peaks for 2θ = 10–80°, most intense first:
2θ/deg  d (Å)  I (rel.)
25.7  3.466  100.0
33.7  2.661  57.0
21.4  4.153  46.4
12.8  6.931  41.8
51.3  1.781  31.2
25.0  3.562  27.5
45.3  2.001  26.9
50.6  1.803  24.9
64.7  1.441  18.3
31.0  2.882  16.6


Entry 5:
This entry pairs a crystal structure of Ce2HoPt9 with its calculated powder XRD pattern. Radiation: copper Kα. Structure: a DFT-relaxed cell (PBE, Alexandria).
No peak broadening, texture or thermal motion is included.

Cell and atoms:
```
Ce2HoPt9
1.0
4.151 0.000 0.000
0.000 4.151 0.000
0.000 0.000 12.434
Ce Ho Pt
2 1 9
Cartesian
0.000 0.000 2.101
0.000 0.000 10.332
0.000 0.000 6.217
0.000 2.075 0.000
0.000 2.075 4.152
0.000 2.075 8.282
2.075 0.000 0.000
2.075 0.000 4.152
2.075 0.000 8.282
2.075 2.075 2.088
2.075 2.075 6.217
2.075 2.075 10.346
```

Top 7 peaks for 2θ = 10–80°, most intense first:
2θ/deg  d (Å)  I (rel.)
37.5  2.395  100.0
43.6  2.074  49.5
76.1  1.251  39.1
63.4  1.467  33.0
21.4  4.149  1.1
30.5  2.934  1.0
49.1  1.855  0.6


Entry 6:
This entry pairs a crystal structure of PrNdH2 with its calculated powder XRD pattern. Radiation: copper Kα. Structure: a DFT-relaxed cell (PBE, Alexandria).
No peak broadening, texture or thermal motion is included.

Cell and atoms:
```
PrNdH2
1.0
3.649 0.000 0.000
-1.824 3.160 0.000
0.000 0.000 17.873
Pr Nd H
3 3 6
Cartesian
0.000 0.000 0.000
0.000 2.107 11.915
1.824 1.053 5.958
0.000 0.000 8.936
0.000 2.107 2.979
1.824 1.053 14.894
0.000 0.000 4.444
0.000 0.000 13.429
0.000 2.107 7.471
0.000 2.107 16.359
1.824 1.053 1.514
1.824 1.053 10.402
```

Top 6 peaks for 2θ = 10–80°, most intense first:
2θ/deg  d (Å)  I (rel.)
30.0  2.979  100.0
34.8  2.580  52.9
59.4  1.556  43.6
50.0  1.824  37.6
62.3  1.490  12.8
73.4  1.290  5.9


Entry 7:
This entry pairs a crystal structure of NaTl5In5 with its calculated powder XRD pattern. Radiation: copper Kα. Structure: a DFT-relaxed cell (PBE, Alexandria).
No peak broadening, texture or thermal motion is included.

Cell and atoms:
```
NaTl5In5
1.0
6.167 0.000 0.000
-3.083 5.341 0.000
0.000 0.000 10.653
Na Tl In
1 5 5
Cartesian
0.000 0.000 0.000
0.000 0.000 3.446
0.000 0.000 7.208
0.000 3.560 2.032
0.000 3.560 8.621
3.083 1.780 0.000
-1.478 2.707 5.327
1.478 2.707 5.327
0.000 5.267 5.327
3.083 1.780 2.882
3.083 1.780 7.771
```

Top 10 peaks for 2θ = 10–80°, most intense first:
2θ/deg  d (Å)  I (rel.)
30.2  2.958  100.0
29.0  3.083  98.3
33.6  2.668  58.9
34.6  2.590  41.3
52.1  1.755  40.5
37.7  2.385  30.4
60.0  1.542  24.8
51.3  1.780  20.4
55.1  1.665  19.8
68.7  1.367  18.3


Entry 8:
This entry pairs a crystal structure of Ac4Pd with its calculated powder XRD pattern. Radiation: copper Kα. Structure: a DFT-relaxed cell (PBE, Alexandria).
No peak broadening, texture or thermal motion is included.

Cell and atoms:
```
Ac4Pd
1.0
9.868 0.000 0.000
0.000 9.868 0.000
0.000 0.000 3.933
Ac Pd
8 2
Cartesian
0.699 2.547 0.000
2.387 5.633 1.966
2.547 9.168 0.000
4.234 2.387 1.966
5.633 7.481 1.966
7.320 0.699 0.000
7.481 4.234 1.966
9.168 7.320 0.000
0.000 0.000 1.966
4.934 4.934 0.000
```

Top 10 peaks for 2θ = 10–80°, most intense first:
2θ/deg  d (Å)  I (rel.)
30.4  2.936  100.0
28.6  3.120  59.4
55.2  1.663  26.7
51.8  1.764  22.3
44.3  2.044  21.6
25.5  3.489  18.8
73.9  1.282  18.1
24.4  3.653  15.2
54.2  1.692  14.9
40.1  2.246  13.8


Entry 9:
This entry pairs a crystal structure of Tl4S3 with its calculated powder XRD pattern. Radiation: copper Kα. Structure: a DFT-relaxed cell (PBE, Alexandria).
No peak broadening, texture or thermal motion is included.

Cell and atoms:
```
Tl4S3
1.0
14.970 0.000 0.000
0.000 4.342 0.000
-3.474 0.000 6.787
Tl S
8 6
Cartesian
0.479 0.000 2.714
2.216 2.171 0.121
1.795 0.000 6.665
3.532 2.171 4.073
7.964 2.171 2.714
9.701 0.000 0.121
9.280 2.171 6.665
11.017 0.000 4.073
0.000 0.000 0.000
0.577 2.171 4.402
3.434 0.000 2.385
7.485 2.171 0.000
8.062 0.000 4.402
10.919 2.171 2.385
```

Top 10 peaks for 2θ = 10–80°, most intense first:
2θ/deg  d (Å)  I (rel.)
26.8  3.327  100.0
27.5  3.241  89.2
31.7  2.824  28.3
26.3  3.393  25.5
41.6  2.171  22.0
27.7  3.222  21.4
36.9  2.435  20.5
41.2  2.190  19.5
35.4  2.534  19.2
48.2  1.889  18.7


Entry 10:
This entry pairs a crystal structure of CeMgIrO6 with its calculated powder XRD pattern. Radiation: copper Kα. Structure: a DFT-relaxed cell (PBE, Alexandria).
No peak broadening, texture or thermal motion is included.

Cell and atoms:
```
CeMgIrO6
1.0
4.876 0.000 0.000
0.000 4.876 0.000
0.000 0.000 9.741
Ce Mg Ir O
2 2 2 12
Cartesian
0.000 0.000 0.000
2.438 2.438 4.871
0.000 0.000 6.482
2.438 2.438 1.611
0.000 0.000 3.238
2.438 2.438 8.109
0.878 0.878 4.758
0.949 0.949 1.829
1.060 1.060 8.050
1.378 3.498 3.179
1.489 3.387 6.700
1.560 3.316 9.628
3.316 1.560 9.628
3.387 1.489 6.700
3.498 1.378 3.179
3.816 3.816 8.050
3.927 3.927 1.829
3.998 3.998 4.758
```

Top 10 peaks for 2θ = 10–80°, most intense first:
2θ/deg  d (Å)  I (rel.)
25.8  3.448  100.0
33.1  2.703  81.6
50.4  1.810  72.3
20.4  4.360  58.4
36.9  2.438  25.7
64.1  1.453  25.1
53.1  1.724  21.7
63.3  1.469  21.2
18.2  4.871  19.0
31.8  2.814  17.8


Entry 11:
This entry pairs a crystal structure of NaHoSc4Se8 with its calculated powder XRD pattern. Radiation: copper Kα. Structure: a DFT-relaxed cell (PBE, Alexandria).
No peak broadening, texture or thermal motion is included.

Cell and atoms:
```
NaHoSc4Se8
1.0
4.029 2.326 6.740
-4.029 2.326 6.740
0.000 -4.652 6.740
Na Ho Sc Se
1 1 4 8
Cartesian
0.000 0.000 0.000
0.000 0.000 12.803
-2.107 -1.216 9.310
0.000 0.000 5.182
2.107 -1.216 9.310
0.000 2.433 9.310
0.000 -2.238 10.939
-1.938 1.119 10.939
0.000 0.000 7.833
-1.875 -1.082 14.573
1.938 1.119 10.939
0.000 0.000 17.514
1.875 -1.082 14.573
0.000 2.165 14.573
```

Top 10 peaks for 2θ = 10–80°, most intense first:
2θ/deg  d (Å)  I (rel.)
31.1  2.871  100.0
45.0  2.014  47.5
44.3  2.047  46.1
13.4  6.596  41.1
25.8  3.458  27.6
27.0  3.298  22.9
55.7  1.649  17.6
40.8  2.209  15.5
74.3  1.276  14.1
65.0  1.436  13.5


Entry 12:
This entry pairs a crystal structure of PrEr3Al2 with its calculated powder XRD pattern. Radiation: copper Kα. Structure: a DFT-relaxed cell (PBE, Alexandria).
No peak broadening, texture or thermal motion is included.

Cell and atoms:
```
PrEr3Al2
1.0
3.541 0.000 0.000
0.000 3.541 0.000
0.000 0.000 12.590
Pr Er Al
1 3 2
Cartesian
0.000 0.000 0.000
1.771 1.771 2.637
1.771 1.771 6.295
1.771 1.771 9.954
0.000 0.000 4.453
0.000 0.000 8.137
```

Top 10 peaks for 2θ = 10–80°, most intense first:
2θ/deg  d (Å)  I (rel.)
33.1  2.706  100.0
35.9  2.504  56.1
62.7  1.482  31.8
28.9  3.086  26.0
25.1  3.541  25.9
46.3  1.960  21.6
28.4  3.148  20.4
57.5  1.604  20.2
51.6  1.771  19.9
26.1  3.409  19.3


Entry 13:
This entry pairs a crystal structure of Sr2PuS4 with its calculated powder XRD pattern. Radiation: copper Kα. Structure: a DFT-relaxed cell (PBE, Alexandria).
No peak broadening, texture or thermal motion is included.

Cell and atoms:
```
Sr2PuS4
1.0
7.378 0.000 0.000
0.000 12.062 0.000
0.000 0.000 4.216
Sr Pu S
4 2 8
Cartesian
0.615 2.207 0.000
3.074 8.238 0.000
4.304 3.824 0.000
6.763 9.855 0.000
0.000 6.031 2.108
3.689 0.000 2.108
0.990 8.484 2.108
1.667 5.453 0.000
2.022 11.484 0.000
2.699 2.453 2.108
4.679 9.609 2.108
5.356 0.578 0.000
5.711 6.609 0.000
6.388 3.578 2.108
```

Top 10 peaks for 2θ = 10–80°, most intense first:
2θ/deg  d (Å)  I (rel.)
25.4  3.503  100.0
14.1  6.294  81.2
25.2  3.530  73.6
35.6  2.522  58.0
45.0  2.014  49.3
25.8  3.456  29.9
33.1  2.706  26.4
50.4  1.810  23.5
51.8  1.764  20.9
42.9  2.108  20.3